(1)
Diffraction record for Sc2InRh5. The powder diffraction line list is simulated, not measured: it uses a structure optimized by DFT (GGA-PBE) and a wavelength of 1.5418 Å.

Crystal structure
Lattice parameters (Å, degrees): 5.5590 11.0753 4.1556 90.00 90.00 90.00
Atoms (fractional coordinates):
Sc  0.1959  0.1378  0.0000
Sc  0.3041  0.6378  0.0000
Sc  0.6959  0.3622  0.0000
Sc  0.8041  0.8622  0.0000
In  0.0000  0.5000  0.5000
In  0.5000  0.0000  0.5000
Rh  0.0000  0.0000  0.5000
Rh  0.0496  0.7548  0.5000
Rh  0.2121  0.3807  0.0000
Rh  0.2879  0.8807  0.0000
Rh  0.4504  0.2548  0.5000
Rh  0.5000  0.5000  0.5000
Rh  0.5496  0.7452  0.5000
Rh  0.7121  0.1193  0.0000
Rh  0.7879  0.6193  0.0000
Rh  0.9504  0.2452  0.5000

Top 10 peaks for 10 to 80 degrees two-theta, by angle:
22.66°, I 12
31.36°, I 10
38.98°, I 81
39.09°, I 100
39.86°, I 19
43.56°, I 37
46.28°, I 48
65.43°, I 33
67.68°, I 9
76.94°, I 24

---

(2)
Diffraction record for ScIn2Rh4. The powder diffraction line list is simulated, not measured: it uses a structure optimized by DFT (GGA-PBE) and a wavelength of 1.5418 Å.

Crystal structure
Lattice parameters (Å, degrees): 6.2871 6.2871 6.3415 90.00 90.00 90.00
Atoms (fractional coordinates):
Sc  0.0000  0.0000  0.0000
Sc  0.5000  0.5000  0.5000
In  0.0000  0.5000  0.0000
In  0.0000  0.5000  0.5000
In  0.5000  0.0000  0.0000
In  0.5000  0.0000  0.5000
Rh  0.2500  0.2500  0.2500
Rh  0.2500  0.2500  0.7500
Rh  0.2500  0.7500  0.2500
Rh  0.2500  0.7500  0.7500
Rh  0.7500  0.2500  0.2500
Rh  0.7500  0.2500  0.7500
Rh  0.7500  0.7500  0.2500
Rh  0.7500  0.7500  0.7500

Top 10 peaks for 10 to 80 degrees two-theta, by angle:
19.96°, I 25
28.39°, I 6
34.75°, I 11
40.40°, I 100
40.59°, I 49
54.48°, I 6
58.19°, I 8
58.74°, I 16
73.35°, I 16
73.72°, I 32

---

(3)
Diffraction record for Sc5In4Rh2. The powder diffraction line list is simulated, not measured: it uses a structure optimized by DFT (GGA-PBE) and a wavelength of 1.5418 Å.

Crystal structure
Lattice parameters (Å, degrees): 7.6653 17.5633 3.3940 90.00 90.00 90.00
Atoms (fractional coordinates):
Sc  0.0000  0.0000  0.0000
Sc  0.1236  0.4136  0.0000
Sc  0.2434  0.7209  0.0000
Sc  0.2566  0.2209  0.0000
Sc  0.3764  0.9136  0.0000
Sc  0.5000  0.5000  0.0000
Sc  0.6236  0.0864  0.0000
Sc  0.7434  0.7791  0.0000
Sc  0.7566  0.2791  0.0000
Sc  0.8764  0.5864  0.0000
In  0.0679  0.8512  0.5000
In  0.2032  0.5662  0.5000
In  0.2968  0.0662  0.5000
In  0.4321  0.3512  0.5000
In  0.5679  0.6488  0.5000
In  0.7032  0.9338  0.5000
In  0.7968  0.4338  0.5000
In  0.9321  0.1488  0.5000
Rh  0.0382  0.3058  0.5000
Rh  0.4618  0.8058  0.5000
Rh  0.5382  0.1942  0.5000
Rh  0.9618  0.6942  0.5000

Top 10 peaks for 10 to 80 degrees two-theta, by angle:
23.35°, I 30
26.26°, I 50
32.73°, I 21
35.41°, I 95
36.63°, I 52
36.82°, I 81
37.72°, I 47
38.68°, I 100
45.63°, I 23
54.04°, I 26

---

(4)
Diffraction record for Sc2InRh3. The powder diffraction line list is simulated, not measured: it uses a structure optimized by DFT (GGA-PBE) and a wavelength of 1.5418 Å.

Crystal structure
Lattice parameters (Å, degrees): 4.5574 4.5574 11.1733 90.00 90.00 120.00
Atoms (fractional coordinates):
Sc  0.0000  0.0000  0.0000
Sc  0.0000  0.0000  0.5000
Sc  0.3333  0.6667  0.1717
Sc  0.6667  0.3333  0.8283
In  0.3333  0.6667  0.6675
In  0.6667  0.3333  0.3325
Rh  0.0000  0.0000  0.2463
Rh  0.0000  0.0000  0.7537
Rh  0.3333  0.6667  0.4183
Rh  0.3333  0.6667  0.9200
Rh  0.6667  0.3333  0.0800
Rh  0.6667  0.3333  0.5817

Top 10 peaks for 10 to 80 degrees two-theta, by angle:
23.91°, I 5
27.67°, I 6
33.07°, I 1
39.54°, I 100
46.73°, I 3
48.94°, I 2
57.15°, I 16
62.83°, I 1
64.66°, I 2
71.72°, I 32

---

(5)
Diffraction record for Sc11In9Rh4. The powder diffraction line list is simulated, not measured: it uses a structure optimized by DFT (GGA-PBE) and a wavelength of 1.5418 Å.

Crystal structure
Lattice parameters (Å, degrees): 12.6027 12.6027 3.4225 90.00 90.00 112.37
Atoms (fractional coordinates):
Sc  0.0000  0.0000  0.0000
Sc  0.0779  0.4168  0.0000
Sc  0.1582  0.8418  0.0000
Sc  0.3110  0.3110  0.0000
Sc  0.3725  0.6275  0.0000
Sc  0.4168  0.0779  0.0000
Sc  0.5832  0.9221  0.0000
Sc  0.6275  0.3725  0.0000
Sc  0.6890  0.6890  0.0000
Sc  0.8418  0.1582  0.0000
Sc  0.9221  0.5832  0.0000
In  0.0723  0.2172  0.5000
In  0.1527  0.6330  0.5000
In  0.2172  0.0723  0.5000
In  0.3670  0.8473  0.5000
In  0.5000  0.5000  0.5000
In  0.6330  0.1527  0.5000
In  0.7828  0.9277  0.5000
In  0.8473  0.3670  0.5000
In  0.9277  0.7828  0.5000
Rh  0.2467  0.4503  0.5000
Rh  0.4503  0.2467  0.5000
Rh  0.5497  0.7533  0.5000
Rh  0.7533  0.5497  0.5000

Top 10 peaks for 10 to 80 degrees two-theta, by angle:
25.52°, I 25
26.04°, I 51
34.94°, I 24
36.31°, I 96
36.69°, I 100
36.78°, I 95
39.49°, I 26
45.23°, I 33
53.55°, I 27
66.43°, I 30

---

(6)
Diffraction record for InRh5Se8. The powder diffraction line list is simulated, not measured: it uses a structure optimized by DFT (GGA-PBE) and a wavelength of 1.5418 Å.

Crystal structure
Lattice parameters (Å, degrees): 9.9563 9.9563 8.7506 106.16 106.16 21.50
Atoms (fractional coordinates):
In  0.0000  0.0000  0.0000
Rh  0.2006  0.2006  0.4646
Rh  0.2458  0.2458  0.8260
Rh  0.5457  0.5457  0.5075
Rh  0.8420  0.8420  0.1820
Rh  0.8864  0.8864  0.5376
Se  0.1231  0.1231  0.6393
Se  0.3071  0.3071  0.3510
Se  0.3672  0.3672  0.0157
Se  0.4614  0.4614  0.6835
Se  0.6250  0.6250  0.3213
Se  0.7215  0.7215  0.9916
Se  0.7794  0.7794  0.6483
Se  0.9687  0.9687  0.3688

Top 10 peaks for 10 to 80 degrees two-theta, by angle:
10.54°, I 60
11.99°, I 33
18.88°, I 38
31.38°, I 100
32.69°, I 54
37.77°, I 36
39.64°, I 40
46.12°, I 45
48.55°, I 58
49.04°, I 47

---

(7)
Diffraction record for InRh4Se8. The powder diffraction line list is simulated, not measured: it uses a structure optimized by DFT (GGA-PBE) and a wavelength of 1.5418 Å.

Crystal structure
Lattice parameters (Å, degrees): 7.5748 7.5748 7.5748 60.00 60.00 60.00
Atoms (fractional coordinates):
In  0.0000  0.0000  0.0000
Rh  0.3793  0.3793  0.3793
Rh  0.3793  0.3793  0.8622
Rh  0.3793  0.8622  0.3793
Rh  0.8622  0.3793  0.3793
Se  0.1423  0.1423  0.1423
Se  0.1423  0.1423  0.5732
Se  0.1423  0.5732  0.1423
Se  0.1702  0.6100  0.6100
Se  0.5732  0.1423  0.1423
Se  0.6100  0.1702  0.6100
Se  0.6100  0.6100  0.1702
Se  0.6100  0.6100  0.6100

Top 10 peaks for 10 to 80 degrees two-theta, by angle:
14.32°, I 73
27.62°, I 60
33.46°, I 97
43.92°, I 61
48.05°, I 100
50.40°, I 14
59.81°, I 19
61.85°, I 16
67.12°, I 14
70.30°, I 13

---

(8)
Diffraction record for TbInSi2Rh5. The powder diffraction line list is simulated, not measured: it uses a structure optimized by DFT (GGA-PBE) and a wavelength of 1.5418 Å.

Crystal structure
Lattice parameters (Å, degrees): 4.5273 4.5273 7.3060 90.00 90.00 90.00
Atoms (fractional coordinates):
Tb  0.0000  0.0000  0.0000
In  0.0000  0.0000  0.5000
Si  0.5000  0.5000  0.3322
Si  0.5000  0.5000  0.6678
Rh  0.0000  0.5000  0.2693
Rh  0.0000  0.5000  0.7307
Rh  0.5000  0.0000  0.2693
Rh  0.5000  0.0000  0.7307
Rh  0.5000  0.5000  0.0000

Top 10 peaks for 10 to 80 degrees two-theta, by angle:
30.49°, I 8
31.47°, I 11
37.35°, I 100
39.82°, I 53
49.93°, I 10
55.42°, I 7
57.58°, I 18
65.69°, I 17
70.67°, I 30
79.64°, I 10

---

(9)
Diffraction record for Sm2In5Rh3. The powder diffraction line list is simulated, not measured: it uses a structure optimized by DFT (GGA-PBE) and a wavelength of 1.5418 Å.

Crystal structure
Lattice parameters (Å, degrees): 13.4673 13.4673 7.3208 90.00 90.00 160.81
Atoms (fractional coordinates):
Sm  0.0262  0.9738  0.5000
Sm  0.3246  0.6754  0.6010
Sm  0.6754  0.3246  0.1010
Sm  0.9738  0.0262  0.0000
In  0.0978  0.9022  0.8867
In  0.2064  0.7936  0.4058
In  0.2094  0.7906  0.8096
In  0.3730  0.6270  0.0453
In  0.4469  0.5531  0.6708
In  0.5531  0.4469  0.1708
In  0.6270  0.3730  0.5453
In  0.7906  0.2094  0.3096
In  0.7936  0.2064  0.9058
In  0.9022  0.0978  0.3867
Rh  0.1098  0.8902  0.2682
Rh  0.2699  0.7301  0.1108
Rh  0.4554  0.5446  0.2861
Rh  0.5446  0.4554  0.7861
Rh  0.7301  0.2699  0.6108
Rh  0.8902  0.1098  0.7682

Top 10 peaks for 10 to 80 degrees two-theta, by angle:
31.72°, I 28
33.21°, I 100
35.95°, I 25
36.44°, I 17
40.18°, I 33
42.29°, I 11
43.43°, I 12
44.30°, I 10
55.02°, I 10
68.60°, I 15

---

(10)
Diffraction record for Sm3InRh3. The powder diffraction line list is simulated, not measured: it uses a structure optimized by DFT (GGA-PBE) and a wavelength of 1.5418 Å.

Crystal structure
Lattice parameters (Å, degrees): 5.6782 5.6782 13.6711 90.00 90.00 134.32
Atoms (fractional coordinates):
Sm  0.0232  0.9768  0.7500
Sm  0.3022  0.6978  0.6067
Sm  0.3022  0.6978  0.8933
Sm  0.6978  0.3022  0.1067
Sm  0.6978  0.3022  0.3933
Sm  0.9768  0.0232  0.2500
In  0.0000  0.0000  0.0000
In  0.0000  0.0000  0.5000
Rh  0.2472  0.7528  0.2500
Rh  0.4065  0.5935  0.0934
Rh  0.4065  0.5935  0.4066
Rh  0.5935  0.4065  0.5934
Rh  0.5935  0.4065  0.9066
Rh  0.7528  0.2472  0.7500

Top 10 peaks for 10 to 80 degrees two-theta, by angle:
29.46°, I 31
31.26°, I 25
32.74°, I 66
34.29°, I 100
34.91°, I 24
38.38°, I 81
39.55°, I 19
39.73°, I 21
40.95°, I 48
43.56°, I 15

---

(11)
Diffraction record for InSn2Rh2. The powder diffraction line list is simulated, not measured: it uses a structure optimized by DFT (GGA-PBE) and a wavelength of 1.5418 Å.

Crystal structure
Lattice parameters (Å, degrees): 4.4564 4.5878 9.7797 90.00 90.00 90.00
Atoms (fractional coordinates):
In  0.2500  0.2500  0.1766
In  0.7500  0.7500  0.8234
Sn  0.2500  0.2500  0.4957
Sn  0.2500  0.2500  0.8291
Sn  0.7500  0.7500  0.1709
Sn  0.7500  0.7500  0.5043
Rh  0.2500  0.7500  0.0066
Rh  0.2500  0.7500  0.3338
Rh  0.7500  0.2500  0.6662
Rh  0.7500  0.2500  0.9934

Top 10 peaks for 10 to 80 degrees two-theta, by angle:
27.91°, I 8
39.28°, I 26
39.48°, I 100
40.48°, I 24
56.45°, I 8
57.68°, I 17
70.93°, I 9
71.33°, I 18
71.75°, I 8
72.96°, I 17

---

(12)
Diffraction record for InSn3Rh3. The powder diffraction line list is simulated, not measured: it uses a structure optimized by DFT (GGA-PBE) and a wavelength of 1.5418 Å.

Crystal structure
Lattice parameters (Å, degrees): 8.0877 8.0877 8.0877 90.00 90.00 90.00
Atoms (fractional coordinates):
In  0.0590  0.4410  0.5589
In  0.4410  0.5589  0.0590
In  0.5589  0.0590  0.4410
In  0.9410  0.9410  0.9410
Sn  0.1105  0.6105  0.8895
Sn  0.1587  0.1587  0.1587
Sn  0.2010  0.7990  0.2990
Sn  0.2990  0.2010  0.7990
Sn  0.3413  0.8413  0.6587
Sn  0.3895  0.3895  0.3895
Sn  0.6105  0.8895  0.1105
Sn  0.6587  0.3413  0.8413
Sn  0.7010  0.7010  0.7010
Sn  0.7990  0.2990  0.2010
Sn  0.8413  0.6587  0.3413
Sn  0.8895  0.1105  0.6105
Rh  0.0151  0.7919  0.6038
Rh  0.1038  0.4849  0.2081
Rh  0.2081  0.1038  0.4849
Rh  0.2919  0.8962  0.9849
Rh  0.3962  0.5151  0.7081
Rh  0.4849  0.2081  0.1038
Rh  0.5151  0.7081  0.3962
Rh  0.6038  0.0151  0.7919
Rh  0.7081  0.3962  0.5151
Rh  0.7919  0.6038  0.0151
Rh  0.8962  0.9849  0.2919
Rh  0.9849  0.2919  0.8962

Top 10 peaks for 10 to 80 degrees two-theta, by angle:
27.00°, I 11
35.09°, I 100
36.86°, I 25
40.20°, I 29
41.79°, I 84
55.68°, I 15
58.16°, I 13
71.97°, I 19
75.23°, I 19
79.50°, I 12